# 1
# Dy12Co5Bi
Theoretical PXRD pattern, Cu Kα, 1.54184 Å. Input: a DFT-relaxed cell (GGA-PBE, the Materials Project).
Lines closer than 0.1° are merged.

Atomic structure:
Lattice parameters (Å, degrees): 8.269 8.269 8.269 110.85 110.56 107.03
Sites, in units of the cell vectors:
Dy 0.014 0.211 0.804
Dy 0.182 0.285 0.467
Dy 0.182 0.715 0.897
Dy 0.312 0.004 0.692
Dy 0.312 0.620 0.308
Dy 0.407 0.211 0.196
Dy 0.593 0.789 0.804
Dy 0.688 0.380 0.692
Dy 0.688 0.996 0.308
Dy 0.818 0.285 0.103
Dy 0.818 0.715 0.533
Dy 0.986 0.789 0.196
Co 0.000 0.000 0.000
Co 0.112 0.612 0.500
Co 0.375 0.000 0.375
Co 0.625 0.000 0.625
Co 0.888 0.388 0.500
Bi 0.500 0.500 0.000

Top 10 peaks for 15° ≤ 2θ ≤ 90°, most intense first:
2θ 32.51, I 100.0; 2θ 34.71, I 50.8; 2θ 35.24, I 49.7; 2θ 35.62, I 41.2; 2θ 30.10, I 28.7; 2θ 29.87, I 26.6; 2θ 60.47, I 26.4; 2θ 58.82, I 23.1; 2θ 28.85, I 23.0; 2θ 55.10, I 20.9



# 2
# Er5CoBi2
Theoretical PXRD pattern, Cu Kα, 1.54184 Å. Input: a DFT-relaxed cell (GGA-PBE, the Materials Project).
Lines closer than 0.1° are merged.

Atomic structure:
Lattice parameters (Å, degrees): 12.405 8.890 7.855 90.00 90.00 90.00
Sites, in units of the cell vectors:
Er 0.004 0.250 0.060
Er 0.068 0.537 0.331
Er 0.068 0.963 0.331
Er 0.181 0.250 0.630
Er 0.202 0.750 0.655
Er 0.298 0.250 0.155
Er 0.319 0.750 0.130
Er 0.432 0.037 0.831
Er 0.432 0.463 0.831
Er 0.496 0.750 0.560
Er 0.504 0.250 0.440
Er 0.568 0.537 0.169
Er 0.568 0.963 0.169
Er 0.681 0.250 0.870
Er 0.702 0.750 0.845
Er 0.798 0.250 0.345
Er 0.819 0.750 0.370
Er 0.932 0.037 0.669
Er 0.932 0.463 0.669
Er 0.996 0.750 0.940
Co 0.006 0.250 0.434
Co 0.494 0.750 0.934
Co 0.506 0.250 0.066
Co 0.994 0.750 0.566
Bi 0.173 0.003 0.938
Bi 0.173 0.497 0.938
Bi 0.327 0.503 0.438
Bi 0.327 0.997 0.438
Bi 0.673 0.003 0.562
Bi 0.673 0.497 0.562
Bi 0.827 0.503 0.062
Bi 0.827 0.997 0.062

Top 10 peaks for 15° ≤ 2θ ≤ 90°, most intense first:
2θ 31.67, I 100.0; 2θ 31.23, I 92.8; 2θ 31.00, I 51.7; 2θ 33.71, I 42.0; 2θ 40.60, I 40.2; 2θ 35.03, I 21.9; 2θ 51.94, I 17.3; 2θ 27.17, I 16.4; 2θ 43.32, I 16.3; 2θ 35.29, I 15.6



# 3
# Tb12FeCoBi4
Theoretical PXRD pattern, Cu Kα, 1.54184 Å. Input: a DFT-relaxed cell (GGA-PBE, the Materials Project).
Lines closer than 0.1° are merged.

Atomic structure:
Lattice parameters (Å, degrees): 8.382 4.159 14.662 90.00 90.38 90.00
Sites, in units of the cell vectors:
Tb 0.000 0.000 0.000
Tb 0.000 0.000 0.400
Tb 0.029 0.500 0.200
Tb 0.181 0.500 0.819
Tb 0.186 0.500 0.586
Tb 0.407 0.000 0.199
Tb 0.499 0.000 0.501
Tb 0.500 0.000 0.898
Tb 0.528 0.500 0.701
Tb 0.686 0.500 0.317
Tb 0.688 0.500 0.085
Tb 0.906 0.000 0.698
Fe 0.290 0.000 0.706
Co 0.786 0.000 0.206
Bi 0.300 0.500 0.033
Bi 0.302 0.500 0.366
Bi 0.798 0.500 0.533
Bi 0.800 0.500 0.865

Top 10 peaks for 15° ≤ 2θ ≤ 90°, most intense first:
2θ 30.16, I 100.0; 2θ 32.59, I 91.5; 2θ 30.28, I 48.4; 2θ 32.73, I 45.1; 2θ 43.53, I 32.0; 2θ 32.31, I 29.1; 2θ 39.31, I 27.1; 2θ 55.26, I 21.1; 2θ 55.43, I 20.7; 2θ 39.06, I 16.5



# 4
# Hf6CoBi2
Theoretical PXRD pattern, Cu Kα, 1.54184 Å. Input: a DFT-relaxed cell (GGA-PBE, the Materials Project).
Lines closer than 0.1° are merged.

Atomic structure:
Lattice parameters (Å, degrees): 7.874 7.874 3.617 90.00 90.00 120.00
Sites, in units of the cell vectors:
Hf 0.000 0.234 0.000
Hf 0.000 0.613 0.500
Hf 0.234 0.000 0.000
Hf 0.387 0.387 0.500
Hf 0.613 0.000 0.500
Hf 0.766 0.766 0.000
Co 0.000 0.000 0.500
Bi 0.333 0.667 0.000
Bi 0.667 0.333 0.000

Top 10 peaks for 15° ≤ 2θ ≤ 90°, most intense first:
2θ 33.65, I 100.0; 2θ 34.81, I 60.4; 2θ 36.21, I 50.9; 2θ 39.65, I 37.0; 2θ 43.10, I 34.1; 2θ 64.94, I 22.6; 2θ 62.77, I 22.5; 2θ 68.14, I 21.8; 2θ 50.47, I 17.5; 2θ 66.02, I 16.8



# 5
# Ho6CoBi2
Theoretical PXRD pattern, Cu Kα, 1.54184 Å. Input: a DFT-relaxed cell (GGA-PBE, the Materials Project).
Lines closer than 0.1° are merged.

Atomic structure:
Lattice parameters (Å, degrees): 8.362 8.362 4.076 90.00 90.00 120.00
Sites, in units of the cell vectors:
Ho 0.000 0.231 0.000
Ho 0.000 0.607 0.500
Ho 0.231 0.000 0.000
Ho 0.393 0.393 0.500
Ho 0.607 0.000 0.500
Ho 0.769 0.769 0.000
Co 0.000 0.000 0.500
Bi 0.333 0.667 0.000
Bi 0.667 0.333 0.000

Top 10 peaks for 15° ≤ 2θ ≤ 90°, most intense first:
2θ 30.63, I 100.0; 2θ 32.72, I 60.0; 2θ 33.09, I 57.4; 2θ 39.66, I 35.6; 2θ 37.25, I 32.9; 2θ 56.28, I 26.1; 2θ 60.14, I 23.2; 2θ 63.10, I 22.4; 2θ 44.45, I 20.7; 2θ 59.35, I 17.2



# 6
# Mg14CoBi
Theoretical PXRD pattern, Cu Kα, 1.54184 Å. Input: a DFT-relaxed cell (GGA-PBE, the Materials Project).
Lines closer than 0.1° are merged.

Atomic structure:
Lattice parameters (Å, degrees): 10.158 6.276 6.276 60.32 90.00 90.00
Sites, in units of the cell vectors:
Mg 0.000 0.000 0.000
Mg 0.000 0.003 0.497
Mg 0.000 0.497 0.003
Mg 0.000 0.499 0.499
Mg 0.243 0.668 0.668
Mg 0.258 0.157 0.679
Mg 0.258 0.679 0.157
Mg 0.261 0.161 0.161
Mg 0.500 0.500 0.997
Mg 0.500 0.997 0.500
Mg 0.739 0.161 0.161
Mg 0.742 0.157 0.679
Mg 0.742 0.679 0.157
Mg 0.757 0.668 0.668
Co 0.500 0.001 0.001
Bi 0.500 0.503 0.503

Top 10 peaks for 15° ≤ 2θ ≤ 90°, most intense first:
2θ 37.44, I 100.0; 2θ 18.51, I 80.3; 2θ 16.30, I 51.9; 2θ 37.59, I 51.1; 2θ 23.97, I 46.5; 2θ 35.35, I 37.7; 2θ 32.85, I 32.5; 2θ 64.86, I 28.4; 2θ 17.46, I 25.2; 2θ 31.11, I 24.9



# 7
# Mg14CoBi
Theoretical PXRD pattern, Cu Kα, 1.54184 Å. Input: a DFT-relaxed cell (GGA-PBE, the Materials Project).
Lines closer than 0.1° are merged.

Atomic structure:
Lattice parameters (Å, degrees): 6.261 6.261 10.317 90.00 90.00 120.00
Sites, in units of the cell vectors:
Mg 0.000 0.000 0.249
Mg 0.000 0.000 0.751
Mg 0.011 0.505 0.274
Mg 0.011 0.505 0.726
Mg 0.325 0.163 0.500
Mg 0.335 0.167 0.000
Mg 0.495 0.505 0.274
Mg 0.495 0.505 0.726
Mg 0.495 0.989 0.274
Mg 0.495 0.989 0.726
Mg 0.833 0.167 0.000
Mg 0.833 0.665 0.000
Mg 0.837 0.163 0.500
Mg 0.837 0.675 0.500
Co 0.333 0.667 0.500
Bi 0.333 0.667 0.000

Top 10 peaks for 15° ≤ 2θ ≤ 90°, most intense first:
2θ 37.48, I 100.0; 2θ 16.35, I 61.4; 2θ 23.81, I 47.2; 2θ 18.49, I 35.0; 2θ 33.04, I 31.3; 2θ 34.78, I 24.6; 2θ 48.73, I 21.0; 2θ 33.48, I 20.7; 2θ 64.12, I 20.6; 2θ 17.19, I 18.5



# 8
# Mg6CoBi
Theoretical PXRD pattern, Cu Kα, 1.54184 Å. Input: a DFT-relaxed cell (GGA-PBE, the Materials Project).
Lines closer than 0.1° are merged.

Atomic structure:
Lattice parameters (Å, degrees): 4.866 6.300 6.300 60.87 90.00 90.00
Sites, in units of the cell vectors:
Mg 0.000 0.000 0.000
Mg 0.000 0.012 0.466
Mg 0.000 0.466 0.012
Mg 0.000 0.485 0.485
Mg 0.500 0.156 0.662
Mg 0.500 0.662 0.156
Co 0.500 0.160 0.160
Bi 0.500 0.658 0.658

Top 10 peaks for 15° ≤ 2θ ≤ 90°, most intense first:
2θ 37.55, I 100.0; 2θ 16.32, I 61.7; 2θ 37.94, I 48.0; 2θ 18.23, I 47.4; 2θ 24.42, I 47.1; 2θ 24.56, I 46.8; 2θ 16.11, I 46.3; 2θ 32.54, I 40.2; 2θ 36.95, I 32.1; 2θ 58.60, I 24.9



Repeat the second record exactly.
# Er5CoBi2
Theoretical PXRD pattern, Cu Kα, 1.54184 Å. Input: a DFT-relaxed cell (GGA-PBE, the Materials Project).
Lines closer than 0.1° are merged.

Atomic structure:
Lattice parameters (Å, degrees): 12.405 8.890 7.855 90.00 90.00 90.00
Sites, in units of the cell vectors:
Er 0.004 0.250 0.060
Er 0.068 0.537 0.331
Er 0.068 0.963 0.331
Er 0.181 0.250 0.630
Er 0.202 0.750 0.655
Er 0.298 0.250 0.155
Er 0.319 0.750 0.130
Er 0.432 0.037 0.831
Er 0.432 0.463 0.831
Er 0.496 0.750 0.560
Er 0.504 0.250 0.440
Er 0.568 0.537 0.169
Er 0.568 0.963 0.169
Er 0.681 0.250 0.870
Er 0.702 0.750 0.845
Er 0.798 0.250 0.345
Er 0.819 0.750 0.370
Er 0.932 0.037 0.669
Er 0.932 0.463 0.669
Er 0.996 0.750 0.940
Co 0.006 0.250 0.434
Co 0.494 0.750 0.934
Co 0.506 0.250 0.066
Co 0.994 0.750 0.566
Bi 0.173 0.003 0.938
Bi 0.173 0.497 0.938
Bi 0.327 0.503 0.438
Bi 0.327 0.997 0.438
Bi 0.673 0.003 0.562
Bi 0.673 0.497 0.562
Bi 0.827 0.503 0.062
Bi 0.827 0.997 0.062

Top 10 peaks for 15° ≤ 2θ ≤ 90°, most intense first:
2θ 31.67, I 100.0; 2θ 31.23, I 92.8; 2θ 31.00, I 51.7; 2θ 33.71, I 42.0; 2θ 40.60, I 40.2; 2θ 35.03, I 21.9; 2θ 51.94, I 17.3; 2θ 27.17, I 16.4; 2θ 43.32, I 16.3; 2θ 35.29, I 15.6